(1)
The following is a simulated X-ray powder pattern of Li2ZnBiF8. It was derived from a cell relaxed with GGA-PBE, using Cu Kα X-rays.

Crystal structure
Cell: 4.784 4.784 6.758 Å, 90.00 90.00 91.57°
Element x y z (fractional)
Li1 0.000 0.000 0.210
Li2 0.000 0.000 0.790
Zn1 0.500 0.500 0.000
Bi1 0.500 0.500 0.500
F1 0.179 0.179 0.500
F2 0.209 0.209 0.000
F3 0.298 0.702 0.247
F4 0.298 0.702 0.753
F5 0.702 0.298 0.247
F6 0.702 0.298 0.753
F7 0.791 0.791 0.000
F8 0.821 0.821 0.500

The 12 most intense peaks (10° ≤ 2θ ≤ 90°), most intense first:
Position (°2θ)	I_rel
18.55	1000
37.37	435
32.44	414
25.99	302
26.72	293
22.78	293
13.10	251
26.38	228
50.08	227
50.93	225
42.74	221
46.53	210



(2)
The following is a simulated X-ray powder pattern of MgSn2. It was derived from a cell relaxed with GGA-PBE, using Cu Kα X-rays.

Crystal structure
Cell: 5.344 3.283 17.582 Å, 90.00 90.00 90.00°
Element x y z (fractional)
Mg1 0.000 0.000 0.000
Mg2 0.000 0.000 0.331
Mg3 0.000 0.500 0.500
Mg4 0.000 0.500 0.831
Sn1 0.000 0.000 0.666
Sn2 0.000 0.500 0.166
Sn3 0.500 0.000 0.111
Sn4 0.500 0.000 0.447
Sn5 0.500 0.000 0.785
Sn6 0.500 0.500 0.285
Sn7 0.500 0.500 0.611
Sn8 0.500 0.500 0.947

The 12 most intense peaks (10° ≤ 2θ ≤ 90°), most intense first:
Position (°2θ)	I_rel
35.56	1000
34.92	466
33.54	361
31.23	275
16.59	243
61.28	213
65.68	210
46.48	188
30.51	185
54.67	179
10.06	149
67.74	146



(3)
The following is a simulated X-ray powder pattern of AcZnCo2H8. It was derived from a cell relaxed with GGA-PBE, using Cu Kα X-rays.

Crystal structure
Cell: 4.428 4.428 5.992 Å, 90.00 90.00 120.00°
Element x y z (fractional)
Ac1 0.000 0.000 0.000
Zn1 0.000 0.000 0.500
Co1 0.333 0.667 0.582
Co2 0.667 0.333 0.418
H1 0.059 0.628 0.357
H2 0.333 0.667 0.862
H3 0.372 0.430 0.357
H4 0.430 0.059 0.643
H5 0.570 0.941 0.357
H6 0.628 0.570 0.643
H7 0.667 0.333 0.138
H8 0.941 0.372 0.643

The 12 most intense peaks (10° ≤ 2θ ≤ 90°), most intense first:
Position (°2θ)	I_rel
27.62	1000
23.20	870
38.12	739
40.76	699
51.31	524
29.82	390
57.03	232
72.44	228
67.08	207
49.94	198
66.36	174
47.42	144



(4)
The following is a simulated X-ray powder pattern of GeBi3Pt4. It was derived from a cell relaxed with GGA-PBE, using Cu Kα X-rays.

Crystal structure
Cell: 5.579 9.257 7.137 Å, 90.00 90.00 90.00°
Element x y z (fractional)
Ge1 0.000 0.000 0.000
Ge2 0.500 0.500 0.500
Bi1 0.000 0.238 0.531
Bi2 0.000 0.500 0.855
Bi3 0.000 0.762 0.531
Bi4 0.500 0.000 0.355
Bi5 0.500 0.262 0.031
Bi6 0.500 0.738 0.031
Pt1 0.000 0.236 0.143
Pt2 0.000 0.764 0.143
Pt3 0.245 0.500 0.211
Pt4 0.255 0.000 0.711
Pt5 0.500 0.264 0.643
Pt6 0.500 0.736 0.643
Pt7 0.745 0.000 0.711
Pt8 0.755 0.500 0.211

The 12 most intense peaks (10° ≤ 2θ ≤ 90°), most intense first:
Position (°2θ)	I_rel
45.69	1000
31.65	965
27.99	958
38.92	751
37.65	639
35.90	569
41.25	434
15.68	407
24.95	304
32.08	302
58.00	300
41.07	294



(5)
The following is a simulated X-ray powder pattern of Cs2PaGaTe4. It was derived from a cell relaxed with GGA-PBE, using Cu Kα X-rays.

Crystal structure
Cell: 9.165 9.165 8.663 Å, 90.00 90.00 90.00°
Element x y z (fractional)
Cs1 0.000 0.500 0.000
Cs2 0.000 0.500 0.500
Cs3 0.500 0.000 0.000
Cs4 0.500 0.000 0.500
Pa1 0.000 0.000 0.000
Pa2 0.500 0.500 0.500
Ga1 0.000 0.000 0.500
Ga2 0.500 0.500 0.000
Te1 0.158 0.158 0.764
Te2 0.158 0.842 0.236
Te3 0.342 0.342 0.264
Te4 0.342 0.658 0.736
Te5 0.658 0.342 0.736
Te6 0.658 0.658 0.264
Te7 0.842 0.158 0.236
Te8 0.842 0.842 0.764

The 12 most intense peaks (10° ≤ 2θ ≤ 90°), most intense first:
Position (°2θ)	I_rel
28.35	1000
24.02	873
44.74	399
27.53	386
19.37	283
14.07	268
38.12	266
44.19	252
34.57	245
62.38	182
13.66	164
41.70	162



(6)
The following is a simulated X-ray powder pattern of Ca2Pr5Ho4. It was derived from a cell relaxed with GGA-PBE, using Cu Kα X-rays.

Crystal structure
Cell: 11.335 11.335 11.335 Å, 162.16 117.55 65.52°
Element x y z (fractional)
Ca1 0.192 0.192 0.000
Ca2 0.808 0.808 0.000
Pr1 0.000 0.500 0.500
Pr2 0.118 0.822 0.296
Pr3 0.473 0.178 0.296
Pr4 0.527 0.822 0.704
Pr5 0.882 0.178 0.704
Ho1 0.275 0.000 0.275
Ho2 0.414 0.414 0.000
Ho3 0.586 0.586 0.000
Ho4 0.725 0.000 0.725

The 12 most intense peaks (10° ≤ 2θ ≤ 90°), most intense first:
Position (°2θ)	I_rel
29.99	1000
32.78	475
34.71	403
32.02	394
30.42	320
34.27	305
55.19	298
38.97	228
61.73	207
28.08	182
60.21	161
46.82	160



(7)
The following is a simulated X-ray powder pattern of Ba2PmTc2N6. It was derived from a cell relaxed with GGA-PBE, using Cu Kα X-rays.

Crystal structure
Cell: 6.272 6.272 7.302 Å, 118.40 118.40 59.42°
Element x y z (fractional)
Ba1 0.216 0.216 0.192
Ba2 0.784 0.784 0.808
Pm1 0.000 0.000 0.500
Tc1 0.463 0.463 0.799
Tc2 0.537 0.537 0.201
N1 0.212 0.689 0.221
N2 0.267 0.267 0.642
N3 0.311 0.788 0.779
N4 0.689 0.212 0.221
N5 0.733 0.733 0.358
N6 0.788 0.311 0.779

The 12 most intense peaks (10° ≤ 2θ ≤ 90°), most intense first:
Position (°2θ)	I_rel
28.50	1000
29.03	612
28.72	548
25.88	539
50.74	208
40.13	202
55.05	200
38.20	188
42.17	173
39.54	154
52.30	151
44.49	144



(8)
The following is a simulated X-ray powder pattern of Pu6BiAu5. It was derived from a cell relaxed with GGA-PBE, using Cu Kα X-rays.

Crystal structure
Cell: 8.909 8.909 7.656 Å, 115.28 115.28 33.33°
Element x y z (fractional)
Pu1 0.000 0.000 0.000
Pu2 0.004 0.004 0.489
Pu3 0.339 0.339 0.345
Pu4 0.353 0.353 0.839
Pu5 0.665 0.665 0.175
Pu6 0.686 0.686 0.656
Bi1 0.175 0.175 0.915
Au1 0.171 0.171 0.419
Au2 0.505 0.505 0.267
Au3 0.515 0.515 0.738
Au4 0.836 0.836 0.089
Au5 0.846 0.846 0.578

The 12 most intense peaks (10° ≤ 2θ ≤ 90°), most intense first:
Position (°2θ)	I_rel
34.15	1000
35.12	243
35.24	224
62.39	182
50.61	164
60.42	143
47.50	94
62.48	87
62.62	69
71.84	61
72.02	45
79.64	41



(9)
The following is a simulated X-ray powder pattern of BeAlZn2. It was derived from a cell relaxed with GGA-PBE, using Cu Kα X-rays.

Crystal structure
Cell: 5.119 5.759 7.568 Å, 90.00 90.00 90.00°
Element x y z (fractional)
Be1 0.000 0.000 0.000
Be2 0.000 0.500 0.500
Be3 0.500 0.000 0.500
Be4 0.500 0.500 0.000
Al1 0.250 0.250 0.750
Al2 0.250 0.750 0.250
Al3 0.750 0.250 0.250
Al4 0.750 0.750 0.750
Zn1 0.000 0.000 0.500
Zn2 0.000 0.500 0.000
Zn3 0.250 0.250 0.250
Zn4 0.250 0.750 0.750
Zn5 0.500 0.000 0.000
Zn6 0.500 0.500 0.500
Zn7 0.750 0.250 0.750
Zn8 0.750 0.750 0.250

The 12 most intense peaks (10° ≤ 2θ ≤ 90°), most intense first:
Position (°2θ)	I_rel
26.10	1000
39.32	845
42.64	666
47.53	480
69.93	287
42.94	267
48.09	231
80.67	188
87.25	154
52.31	145
57.64	106
64.75	91



(10)
The following is a simulated X-ray powder pattern of BeFe3Cl. It was derived from a cell relaxed with GGA-PBE, using Cu Kα X-rays.

Crystal structure
Cell: 4.131 4.131 4.131 Å, 90.00 90.00 90.00°
Element x y z (fractional)
Be1 0.000 0.000 0.000
Fe1 0.000 0.000 0.500
Fe2 0.000 0.500 0.000
Fe3 0.500 0.000 0.000
Cl1 0.500 0.500 0.500

The 11 most intense peaks (10° ≤ 2θ ≤ 90°), most intense first:
Position (°2θ)	I_rel
37.72	1000
43.83	531
63.72	313
76.47	313
80.55	102
21.51	65
49.33	30
30.60	17
68.09	13
54.40	8
84.57	5



(11)
The following is a simulated X-ray powder pattern of NdErTmAg. It was derived from a cell relaxed with GGA-PBE, using Cu Kα X-rays.

Crystal structure
Cell: 3.580 3.580 8.804 Å, 90.00 90.00 90.00°
Element x y z (fractional)
Nd1 0.000 0.000 0.000
Er1 0.500 0.500 0.706
Tm1 0.500 0.500 0.293
Ag1 0.000 0.000 0.497

The 12 most intense peaks (10° ≤ 2θ ≤ 90°), most intense first:
Position (°2θ)	I_rel
32.23	1000
35.46	461
61.65	308
51.02	163
55.31	121
47.43	91
39.71	88
58.41	83
26.88	81
30.46	76
85.84	74
41.00	73



(12)
The following is a simulated X-ray powder pattern of Li4Zr3O8. It was derived from a cell relaxed with GGA-PBE, using Cu Kα X-rays.

Crystal structure
Cell: 5.504 5.504 6.208 Å, 90.00 90.00 112.27°
Element x y z (fractional)
Li1 0.000 0.000 0.000
Li2 0.000 0.500 0.744
Li3 0.500 0.000 0.256
Li4 0.500 0.500 0.500
Zr1 0.000 0.000 0.500
Zr2 0.000 0.500 0.224
Zr3 0.500 0.000 0.776
O1 0.216 0.266 0.269
O2 0.233 0.767 0.000
O3 0.239 0.761 0.500
O4 0.266 0.216 0.731
O5 0.734 0.784 0.731
O6 0.761 0.239 0.500
O7 0.767 0.233 0.000
O8 0.784 0.734 0.269

The 12 most intense peaks (10° ≤ 2θ ≤ 90°), most intense first:
Position (°2θ)	I_rel
22.58	1000
41.39	415
58.49	250
17.41	246
39.43	236
35.95	203
24.18	178
47.88	125
35.24	112
54.42	109
33.82	107
47.42	106